Structure and calculated X-ray diffraction stick pattern of NaTbMnWO6 (a GGA+U-relaxed structure; λ = 1.5418 Å (Cu Kα)).
Neutral-atom scattering factors, no anomalous dispersion.

Peak list (10 most intense, 2θ = 10–80°, by angle)
| (hkl) | 2θ/deg | Rel. int. |
| --- | --- | --- |
| 0 0 1 | 11.06 | 37 |
| 0 1 1 | 19.17 | 22 |
| 1 0 -1 | 19.62 | 20 |
| 1 1 1 | 25.18 | 28 |
| 0 2 0 | 31.53 | 25 |
| 1 1 -2 | 31.86 | 100 |
| 2 0 0 | 32.66 | 24 |
| 2 2 0 | 46.03 | 22 |
| 0 2 4 | 56.31 | 27 |
| 3 1 2 | 57.79 | 23 |

Structural model:
Unit cell a=5.484 b=5.675 c=8.002 alpha=90.00 beta=90.08 gamma=90.00
Space group P2_1 (No. 4)
Inequivalent atoms, fractional coordinates:
Na1 0.247 0.000 0.499 [2 per cell]
Tb1 0.234 0.904 0.998 [2 per cell]
Mn1 0.252 0.460 0.741 [2 per cell]
W1 0.263 0.470 0.255 [2 per cell]
O1 0.030 0.161 0.820 [2 per cell]
O2 0.068 0.194 0.178 [2 per cell]
O3 0.172 0.430 0.479 [2 per cell]
O4 0.363 0.511 0.006 [2 per cell]
O5 0.410 0.775 0.283 [2 per cell]
O6 0.437 0.805 0.726 [2 per cell]